Diffraction record for Na2Ti2O5. The X-ray diffraction stick pattern is computed, not measured: it uses a DFT-relaxed cell (GGA-PBE, the Materials Project) and Cu Kα, 1.54184 Å.
Neutral-atom scattering factors, no anomalous dispersion.

Structural model:
a b c (Å): 8.8648 11.9552 5.4274
angles (deg): 90.00 90.00 90.00
Fractional coordinates of all 36 atoms:
Na1 0.0660 0.2274 0.0000
Na2 0.1895 0.6954 0.9177
Na3 0.3105 0.1954 0.4177
Na4 0.4340 0.7274 0.5000
Na5 0.5660 0.2726 0.0000
Na6 0.6895 0.8046 0.9177
Na7 0.8105 0.3046 0.4177
Na8 0.9340 0.7726 0.5000
Ti1 0.0483 0.9295 0.0281
Ti2 0.1065 0.5179 0.3910
Ti3 0.3935 0.0179 0.8910
Ti4 0.4517 0.4295 0.5281
Ti5 0.5483 0.5705 0.0281
Ti6 0.6065 0.9821 0.3910
Ti7 0.8935 0.4821 0.8910
Ti8 0.9517 0.0705 0.5281
O1 0.0227 0.9436 0.3676
O2 0.0449 0.1920 0.4303
O3 0.0712 0.5230 0.0514
O4 0.1632 0.6529 0.4838
O5 0.2502 0.4083 0.4550
O6 0.2498 0.9083 0.9550
O7 0.3368 0.1529 0.9838
O8 0.4288 0.0230 0.5514
O9 0.4551 0.6919 0.9303
O10 0.4773 0.4436 0.8676
O11 0.5227 0.5564 0.3676
O12 0.5449 0.3080 0.4303
O13 0.5712 0.9770 0.0514
O14 0.6632 0.8471 0.4838
O15 0.7502 0.0917 0.4550
O16 0.7498 0.5917 0.9550
O17 0.8368 0.3471 0.9838
O18 0.9288 0.4770 0.5514
O19 0.9551 0.8081 0.9303
O20 0.9773 0.0564 0.8676

Top 10 peaks for 2θ from 15° to 90°, in order of falling intensity:
h k l	two_theta	Rel. int.
1 1 1	20.58	100.0
0 0 2	33.01	93.3
2 0 0	20.03	54.6
3 1 0	31.18	49.5
1 2 1	24.32	42.1
2 2 1	30.02	41.2
2 3 0	30.16	39.1
0 3 1	27.77	37.4
1 7 0	54.76	29.0
3 1 1	35.39	28.2